(1)
Structure and simulated PXRD pattern of Ga2PtS (a DFT-relaxed cell (PBE, Alexandria); CuKα).

Principal peaks in the range 2θ = 15–90°, by angle:
(1 0 1), 17.41 deg, I 51.5
(1 1 2), 28.21 deg, I 100.0
(1 0 3), 32.28 deg, I 12.1
(2 1 1), 34.37 deg, I 20.6
(2 2 0), 42.06 deg, I 32.4
(2 1 3), 44.22 deg, I 10.6
(2 0 4), 49.18 deg, I 40.9
(3 1 2), 51.41 deg, I 37.4
(4 0 0), 60.99 deg, I 10.6
(4 2 4), 82.03 deg, I 18.3

Atomic structure:
Unit cell a=6.0762 b=6.0762 c=9.3507 alpha=90.00 beta=90.00 gamma=90.00
Space group I-42d (No. 122)
Asymmetric unit:
Ga (0.2501, 0.2500, 0.1250) (multiplicity 8)
Pt (0.0000, 0.0000, 0.0000) (multiplicity 4)
S (0.0000, 0.0000, 0.5000) (multiplicity 4)



(2)
Structure and simulated PXRD pattern of GdCo5P3 (a DFT-relaxed cell (PBE, Alexandria); CuKα).

Principal peaks in the range 2θ = 15–90°, by angle:
(1 1 1), 26.98 deg, I 18.6
(2 0 3), 30.10 deg, I 14.6
(1 0 4), 35.63 deg, I 14.2
(3 1 2), 37.92 deg, I 18.9
(2 1 3), 39.10 deg, I 100.0
(4 1 0), 39.35 deg, I 68.3
(4 0 3), 40.36 deg, I 26.4
(0 2 0), 49.92 deg, I 35.1
(6 0 3), 53.86 deg, I 22.0
(6 2 3), 76.49 deg, I 14.7

Atomic structure:
Unit cell a=11.7514 b=3.6539 c=10.3202 alpha=90.00 beta=90.00 gamma=90.00
Space group Pnma (No. 62)
Asymmetric unit:
Gd (0.2025, 0.2500, 0.0833) (multiplicity 4)
Co (0.0087, 0.7500, 0.7158) (multiplicity 4)
Co (0.0116, 0.7500, 0.0934) (multiplicity 4)
Co (0.0679, 0.7500, 0.4681) (multiplicity 4)
Co (0.1757, 0.2500, 0.7793) (multiplicity 4)
Co (0.1979, 0.2500, 0.3826) (multiplicity 4)
P (0.1085, 0.7500, 0.8970) (multiplicity 4)
P (0.1117, 0.2500, 0.5818) (multiplicity 4)
P (0.1300, 0.7500, 0.2722) (multiplicity 4)



What is the formula in the first record?
Ga2PtS